This entry pairs a crystal structure of LiPtAu with its calculated XRD peak list. Radiation: Cu Kα (weighted mean of Kα1 and Kα2). Structure: DFT lattice parameters and positions (PBE).

Peak list (6 most intense, 2θ from 10° to 80°, by angle)
Position (°2θ), d_spacing, I/Imax, h k l
19.3, 4.588, 43.7, 0 0 1
37.8, 2.379, 16.7, 1 3 0
39.3, 2.295, 100.0, 0 0 2
39.7, 2.268, 32.3, 2 0 0
45.0, 2.012, 25.1, 2 0 -2
46.2, 1.967, 42.3, 1 3 1

Structural model:
a b c (Å): 4.8569 8.3829 4.9136
angles (deg): 90.00 110.97 90.00
Fractional coordinates of all 12 atoms:
Li  0.0000  0.0000  0.0000
Li  0.0000  0.3314  0.0000
Li  0.5000  0.5000  0.0000
Li  0.5000  0.8314  0.0000
Pt  0.0000  0.1621  0.5000
Pt  0.0000  0.8313  0.5000
Pt  0.5000  0.3313  0.5000
Pt  0.5000  0.6621  0.5000
Au  0.0000  0.4929  0.5000
Au  0.0000  0.6700  0.0000
Au  0.5000  0.1700  0.0000
Au  0.5000  0.9929  0.5000